# 1
Li4Ti3V3Ni2O16: simulated XRD peak list (Cu Ka), based on a cell relaxed with GGA+U.

Structure:
```
Li4Ti3V3Ni2O16
1.0
5.0997 -2.9667 0.0000
5.0997 2.9667 0.0000
-0.0925 0.0000 9.6958
Li Ti V Ni O
4 3 3 2 16
Cartesian
0.0000 0.0000 0.0000
-0.0033 0.0000 4.8512
3.3334 0.0000 8.6533
6.7632 0.0000 3.8166
4.1704 1.4557 2.1089
4.1704 -1.4557 2.1089
8.3668 0.0000 7.0200
1.6729 0.0000 2.0521
5.8583 1.4820 6.9103
5.8583 -1.4820 6.9103
3.3418 0.0000 4.7594
6.6837 0.0000 9.6055
-0.0711 0.0000 7.9113
2.6266 1.3247 3.2336
1.6015 0.0000 5.9169
4.2832 1.5170 5.8966
5.9037 1.5236 1.0575
3.4028 0.0000 1.0108
4.8885 0.0000 3.2214
2.6266 -1.3247 3.2336
5.2142 0.0000 8.0714
7.4812 1.3195 8.0474
6.7715 0.0000 5.8701
4.2832 -1.5170 5.8966
5.9037 -1.5236 1.0575
8.5566 0.0000 1.0334
7.4812 -1.3195 8.0474
10.1639 0.0000 3.0649
```

The 10 most intense peaks (2θ from 10° to 90°), by angle:
Position (°2θ)	intensity
18.30	56
19.58	100
32.67	23
35.48	48
35.76	23
36.24	30
39.83	21
45.04	32
59.64	25
63.03	30



# 2
Ba2YMgMn2TlO7: simulated XRD peak list (Cu Ka), based on a cell relaxed with GGA+U.

Structure:
```
Ba2YMgMn2TlO7
1.0
4.0396 0.0000 0.0000
0.0000 3.8203 0.0000
-0.0559 0.0000 16.0462
Ba Y Mg Mn Tl O
2 1 1 2 1 7
Cartesian
0.0000 0.0000 0.0000
-0.0058 0.0000 7.8748
0.0012 0.0000 4.0613
-0.0066 1.9102 12.9477
2.0215 1.9102 2.2001
2.0156 1.9102 6.0109
2.0129 1.9102 10.5877
0.0019 1.9102 2.6313
-0.0043 1.9102 5.6020
-0.0216 0.0000 13.4018
2.0212 1.9102 0.1817
2.0213 0.0000 2.9803
2.0144 0.0000 5.7714
2.0135 1.9102 8.2265
```

The 10 most intense peaks (2θ from 10° to 90°), by angle:
Position (°2θ)	intensity
24.68	48
25.83	45
31.37	46
31.48	45
32.25	100
32.36	81
33.51	29
44.88	32
56.50	30
58.16	31



# 3
TiP6W3O24: simulated XRD peak list (Cu Ka), based on a cell relaxed with GGA+U.

Structure:
```
TiP6W3O24
1.0
4.3898 2.5344 7.3464
-4.3898 2.5344 7.3464
0.0000 -5.0689 7.3464
Ti P W O
1 6 3 24
Cartesian
0.0000 0.0000 0.0000
-2.5387 0.0297 8.6162
-1.9099 -2.5285 12.3225
1.2436 -2.2135 8.6162
-1.2348 2.9182 12.3225
1.2951 2.1837 8.6162
3.1447 -0.3897 12.3225
0.0000 0.0000 6.2484
0.0000 0.0000 10.9918
0.0000 0.0000 17.2732
-2.7424 -2.7432 11.0235
-0.6083 -1.5112 5.0948
-3.4168 1.2636 8.4346
-1.6586 -0.2074 7.3573
-2.8061 -2.3458 13.5384
-1.0046 1.2824 5.0948
0.6141 -3.5909 8.4346
-1.6791 0.2111 9.8656
-1.0134 -1.3041 12.1681
1.0089 -1.3327 7.3573
0.6568 -1.5596 9.8656
1.6129 0.2288 5.0948
0.6497 1.5401 7.3573
-1.6095 0.1970 16.1146
-0.6227 1.5297 12.1681
-1.0044 3.7466 11.0235
1.0223 1.3486 9.8656
0.6341 -1.4924 16.1146
1.6361 -0.2256 12.1681
-0.6285 3.6031 13.5384
2.8027 2.3273 8.4346
3.7469 -1.0034 11.0235
3.4346 -1.2572 13.5384
0.9754 1.2954 16.1146
```

The 10 most intense peaks (2θ from 10° to 90°), by angle:
Position (°2θ)	intensity
14.15	42
19.90	100
20.23	82
23.61	38
28.53	56
31.76	41
35.22	35
35.42	28
46.09	20
55.37	20



# 4
BaNi2P2O8: simulated XRD peak list (Cu Ka), based on a cell relaxed with GGA+U.

Structure:
```
BaNi2P2O8
1.0
2.4263 1.4008 7.9249
-2.4263 1.4008 7.9249
0.0000 -2.8016 7.9249
Ba Ni P O
1 2 2 8
Cartesian
0.0000 0.0000 0.0000
0.0000 0.0000 4.0138
0.0000 0.0000 19.7607
0.0000 0.0000 10.1663
0.0000 0.0000 13.6082
-1.4884 0.0367 10.6683
-0.7760 -1.2707 13.1063
0.0000 0.0000 8.6372
0.7124 -1.3074 10.6683
-0.7124 1.3074 13.1063
0.0000 0.0000 15.1374
0.7760 1.2707 10.6683
1.4884 -0.0367 13.1063
```

The 10 most intense peaks (2θ from 10° to 90°), by angle:
Position (°2θ)	intensity
21.47	32
22.44	60
28.34	100
33.94	52
37.05	70
43.75	59
47.30	44
60.31	34
61.56	27
66.78	24